CaPr2N2: computed PXRD pattern (Cu Kα, 1.54184 Å), based on a crystal structure in Alexandria, relaxed with PBE.
Neutral-atom scattering factors, no anomalous dispersion.

Cell and atoms:
```
data_CaPr2N2
_chemical_formula_sum 'Ca8 Pr16 N16'
_cell_length_a 7.2427
_cell_length_b 11.7562
_cell_length_c 12.5736
_cell_angle_alpha 90.00
_cell_angle_beta 90.00
_cell_angle_gamma 90.00
_symmetry_space_group_name_H-M 'F d d d'
_symmetry_Int_Tables_number 70
loop_
_symmetry_equiv_pos_as_xyz
'x,y,z'
'-x,-y,-z'
'-x+1/4,-y+1/4,z'
'x+1/4,y+1/4,-z'
'x,-y+1/4,-z+1/4'
'-x,y+1/4,z+1/4'
'-x+1/4,y,-z+1/4'
'x+1/4,-y,z+1/4'
'x,y+1/2,z+1/2'
'-x,-y+1/2,-z+1/2'
'-x+1/4,-y+3/4,z+1/2'
'x+1/4,y+3/4,-z+1/2'
'x,-y+3/4,-z+3/4'
'-x,y+3/4,z+3/4'
'-x+1/4,y+1/2,-z+3/4'
'x+1/4,-y+1/2,z+3/4'
'x+1/2,y,z+1/2'
'-x+1/2,-y,-z+1/2'
'-x+3/4,-y+1/4,z+1/2'
'x+3/4,y+1/4,-z+1/2'
'x+1/2,-y+1/4,-z+3/4'
'-x+1/2,y+1/4,z+3/4'
'-x+3/4,y,-z+3/4'
'x+3/4,-y,z+3/4'
'x+1/2,y+1/2,z'
'-x+1/2,-y+1/2,-z'
'-x+3/4,-y+3/4,z'
'x+3/4,y+3/4,-z'
'x+1/2,-y+3/4,-z+1/4'
'-x+1/2,y+3/4,z+1/4'
'-x+3/4,y+1/2,-z+1/4'
'x+3/4,-y+1/2,z+1/4'
loop_
_atom_site_label
_atom_site_fract_x
_atom_site_fract_y
_atom_site_fract_z
Ca1 0.1250 0.1250 0.1250
Pr1 0.1250 0.1250 0.3781
N1 0.0000 0.0000 0.0000
```

The 6 most intense peaks (2θ from 15° to 90°), sorted by position:
2θ/deg	d/Å	I (rel.)	index
20.7	4.294	100	0 2 2
28.4	3.140	81	0 0 4
29.0	3.083	81	2 2 0
30.4	2.939	30	0 4 0
41.0	2.201	62	2 2 4
42.1	2.146	66	0 4 4



CaPr2ReN4: computed PXRD pattern (Cu Kα, 1.54184 Å), based on a crystal structure in Alexandria, relaxed with PBE.
Neutral-atom scattering factors, no anomalous dispersion.

Cell and atoms:
```
data_CaPr2ReN4
_chemical_formula_sum 'Ca4 Pr8 Re4 N16'
_cell_length_a 3.5574
_cell_length_b 12.4567
_cell_length_c 12.1716
_cell_angle_alpha 90.00
_cell_angle_beta 90.00
_cell_angle_gamma 90.00
_symmetry_space_group_name_H-M 'C m c m'
_symmetry_Int_Tables_number 63
_symmetry_space_group_name_Hall '-C 2c 2'
loop_
_atom_site_label
_atom_site_fract_x
_atom_site_fract_y
_atom_site_fract_z
Ca1 0.0000 0.1264 0.2500
Pr1 0.0000 0.3692 0.0336
Re1 0.0000 0.1540 0.7500
N1 0.0000 0.0000 0.0000
N2 0.0000 0.2619 0.6347
N3 0.0000 0.4143 0.2500
```

The 6 most intense peaks (2θ from 15° to 90°), sorted by position:
2θ/deg	d/Å	I (rel.)	index
16.0	5.545	79	0 2 1
28.7	3.114	47	0 4 0
29.4	3.043	42	0 0 4
30.0	2.982	73	1 1 2
36.4	2.469	100	1 3 2
39.8	2.267	33	0 2 5



CaPrTc2N4: computed PXRD pattern (Cu Kα, 1.54184 Å), based on a crystal structure in Alexandria, relaxed with PBE.
Neutral-atom scattering factors, no anomalous dispersion.

Cell and atoms:
```
data_CaPrTc2N4
_chemical_formula_sum 'Ca2 Pr2 Tc4 N8'
_cell_length_a 5.6091
_cell_length_b 5.6091
_cell_length_c 6.7885
_cell_angle_alpha 90.00
_cell_angle_beta 90.00
_cell_angle_gamma 90.00
_symmetry_space_group_name_H-M 'I 4/m m m'
_symmetry_Int_Tables_number 139
_symmetry_space_group_name_Hall '-I 4 2'
loop_
_atom_site_label
_atom_site_fract_x
_atom_site_fract_y
_atom_site_fract_z
Ca1 0.0000 0.0000 0.0000
Pr1 0.0000 0.0000 0.5000
Tc1 0.0000 0.5000 0.2500
N1 0.2500 0.2500 0.2500
```

The 6 most intense peaks (2θ from 15° to 90°), sorted by position:
2θ/deg	d/Å	I (rel.)	index
20.5	4.324	24	1 0 1
31.9	2.805	46	2 0 0
34.8	2.579	100	1 1 2
45.8	1.983	29	2 2 0
58.7	1.572	43	3 1 2
73.4	1.289	13	2 2 4



CaPr2VN4: computed PXRD pattern (Cu Kα, 1.54184 Å), based on a crystal structure in Alexandria, relaxed with PBE.
Neutral-atom scattering factors, no anomalous dispersion.

Cell and atoms:
```
data_CaPr2VN4
_chemical_formula_sum 'Ca4 Pr8 V4 N16'
_cell_length_a 3.5069
_cell_length_b 12.1387
_cell_length_c 12.4213
_cell_angle_alpha 90.00
_cell_angle_beta 90.00
_cell_angle_gamma 90.00
_symmetry_space_group_name_H-M 'C m c m'
_symmetry_Int_Tables_number 63
_symmetry_space_group_name_Hall '-C 2c 2'
loop_
_atom_site_label
_atom_site_fract_x
_atom_site_fract_y
_atom_site_fract_z
Ca1 0.0000 0.1054 0.2500
Pr1 0.0000 0.3689 0.0409
V1 0.0000 0.1772 0.7500
N1 0.0000 0.0000 0.0000
N2 0.0000 0.2672 0.6357
N3 0.0000 0.4006 0.2500
```

The 6 most intense peaks (2θ from 15° to 90°), sorted by position:
2θ/deg	d/Å	I (rel.)	index
26.1	3.420	57	0 2 3
29.4	3.035	58	0 4 0
30.2	2.961	93	1 1 2
36.9	2.437	100	1 3 2
39.2	2.299	49	0 2 5
45.4	1.999	46	1 1 5



CaPrZnN2: computed PXRD pattern (Cu Kα, 1.54184 Å), based on a crystal structure in Alexandria, relaxed with PBE.
Neutral-atom scattering factors, no anomalous dispersion.

Cell and atoms:
```
data_CaPrZnN2
_chemical_formula_sum 'Ca2 Pr2 Zn2 N4'
_cell_length_a 5.2184
_cell_length_b 5.5837
_cell_length_c 6.7134
_cell_angle_alpha 90.00
_cell_angle_beta 90.00
_cell_angle_gamma 90.00
_symmetry_space_group_name_H-M 'P c c m'
_symmetry_Int_Tables_number 49
_symmetry_space_group_name_Hall '-P 2 2c'
loop_
_atom_site_label
_atom_site_fract_x
_atom_site_fract_y
_atom_site_fract_z
Ca1 0.0000 0.0000 0.2500
Pr1 0.5000 0.5000 0.2500
Zn1 0.5000 0.0000 0.0000
N1 0.2636 0.2509 0.0000
```

The 6 most intense peaks (2θ from 15° to 90°), sorted by position:
2θ/deg	d/Å	I (rel.)	index
17.0	5.218	71	1 0 0
23.3	3.813	29	1 1 0
31.1	2.877	32	0 1 2
32.1	2.792	26	0 2 0
35.6	2.519	100	1 1 2
47.7	1.906	26	2 2 0



Ca7PtN6: computed PXRD pattern (Cu Kα, 1.54184 Å), based on a crystal structure in Alexandria, relaxed with PBE.
Neutral-atom scattering factors, no anomalous dispersion.

Cell and atoms:
```
data_Ca7PtN6
_chemical_formula_sum 'Ca28 Pt4 N24'
_cell_length_a 6.3400
_cell_length_b 11.9545
_cell_length_c 12.2069
_cell_angle_alpha 90.00
_cell_angle_beta 90.00
_cell_angle_gamma 90.00
_symmetry_space_group_name_H-M 'I b a m'
_symmetry_Int_Tables_number 72
_symmetry_space_group_name_Hall '-I 2 2c'
loop_
_atom_site_label
_atom_site_fract_x
_atom_site_fract_y
_atom_site_fract_z
Ca1 0.0000 0.0000 0.2500
Ca2 0.1328 0.2821 0.1312
Ca3 0.2231 0.0480 0.0000
Pt1 0.0000 0.5000 0.2500
N1 0.1097 0.1447 0.5000
N2 0.1979 0.3778 0.3057
```

The 6 most intense peaks (2θ from 15° to 90°), sorted by position:
2θ/deg	d/Å	I (rel.)	index
15.8	5.601	68	1 1 0
20.8	4.270	39	0 2 2
21.5	4.127	100	1 1 2
31.8	2.813	40	2 0 2
33.0	2.718	99	0 2 4
35.3	2.545	73	2 2 2



CaPu6N8: computed PXRD pattern (Cu Kα, 1.54184 Å), based on a crystal structure in Alexandria, relaxed with PBE.
Neutral-atom scattering factors, no anomalous dispersion.

Cell and atoms:
```
data_CaPu6N8
_chemical_formula_sum 'Ca1 Pu6 N8'
_cell_length_a 8.8464
_cell_length_b 8.8464
_cell_length_c 3.5150
_cell_angle_alpha 90.00
_cell_angle_beta 90.00
_cell_angle_gamma 120.00
_symmetry_space_group_name_H-M 'P -3'
_symmetry_Int_Tables_number 147
_symmetry_space_group_name_Hall '-P 3'
loop_
_atom_site_label
_atom_site_fract_x
_atom_site_fract_y
_atom_site_fract_z
Ca1 0.0000 0.0000 0.0000
Pu1 0.1421 0.7023 0.7398
N1 0.0181 0.3096 0.7612
N2 0.3333 0.6667 0.2437
```

The 6 most intense peaks (2θ from 15° to 90°), sorted by position:
2θ/deg	d/Å	I (rel.)	index
27.9	3.195	49	1 0 1
30.9	2.896	100	2 1 0
32.5	2.752	27	2 -1 1
34.6	2.590	22	2 0 1
40.4	2.235	30	1 2 1
61.7	1.502	27	3 -2 2



Ca4Pu3SiN8: computed PXRD pattern (Cu Kα, 1.54184 Å), based on a crystal structure in Alexandria, relaxed with PBE.
Neutral-atom scattering factors, no anomalous dispersion.

Cell and atoms:
```
data_Ca4Pu3SiN8
_chemical_formula_sum 'Ca8 Pu6 Si2 N16'
_cell_length_a 11.4483
_cell_length_b 7.1859
_cell_length_c 7.1557
_cell_angle_alpha 90.00
_cell_angle_beta 127.34
_cell_angle_gamma 90.00
_symmetry_space_group_name_H-M 'C 1 2/m 1'
_symmetry_Int_Tables_number 12
_symmetry_space_group_name_Hall '-C 2y'
loop_
_atom_site_label
_atom_site_fract_x
_atom_site_fract_y
_atom_site_fract_z
Ca1 0.0000 0.0000 0.0000
Ca2 0.0000 0.5000 0.0000
Ca3 0.2500 0.2500 0.0000
Pu1 0.0000 0.0000 0.5000
Pu2 0.2500 0.2500 0.5000
Si1 0.0000 0.5000 0.5000
N1 0.0199 0.2368 0.2650
N2 0.1917 0.5000 0.6913
N3 0.2346 0.0000 0.7269
```

The 6 most intense peaks (2θ from 15° to 90°), sorted by position:
2θ/deg	d/Å	I (rel.)	index
15.6	5.689	100	0 0 1
29.6	3.018	45	2 2 -1
31.4	2.845	37	0 0 2
31.7	2.820	75	2 2 0
32.2	2.781	35	4 0 -2
35.4	2.535	86	2 2 -2